No. 1
Structure and simulated powder XRD pattern of TbGdPbN (the GGA-PBE geometry in OQMD; λ = 1.5418 Å (Cu Kα)).
Lines closer than 0.1° are merged.

Crystal structure
Unit cell a=3.5751 b=3.5751 c=15.7784 alpha=90.00 beta=90.00 gamma=120.00
Space group P-6m2 (No. 187)
Unique sites:
Tb: 0.0000 0.0000 0.1666 (multiplicity 2)
Gd: 0.3333 0.6667 0.3337 (multiplicity 2)
Pb: 0.0000 0.0000 0.5000 (multiplicity 1)
Pb: 0.3333 0.6667 0.0000 (multiplicity 1)
N: 0.6667 0.3333 0.2487 (multiplicity 2)

Most intense lines, 10 to 80 degrees two-theta, by intensity:
2θ (°)  I/Imax
33.6  100
28.8  22
51.1  22
62.9  21
34.1  20
60.7  19
62.5  17
45.2  16

=====

No. 2
Structure and simulated powder XRD pattern of KCuBi2S4 (the GGA-PBE geometry in OQMD; λ = 1.5418 Å (Cu Kα)).
Lines closer than 0.1° are merged.

Crystal structure
Unit cell a=4.0317 b=13.8868 c=14.3328 alpha=90.00 beta=90.00 gamma=90.00
Space group Cmc2_1 (No. 36)
Unique sites:
K: 0.0000 0.1119 0.0000 (multiplicity 4)
Cu: 0.0000 0.1479 0.5276 (multiplicity 4)
Bi: 0.0000 0.3493 0.2093 (multiplicity 4)
Bi: 0.0000 0.3822 0.8267 (multiplicity 4)
S: 0.0000 0.0174 0.7800 (multiplicity 4)
S: 0.0000 0.2523 0.3739 (multiplicity 4)
S: 0.0000 0.2691 0.6439 (multiplicity 4)
S: 0.0000 0.4306 0.0087 (multiplicity 4)

Most intense lines, 10 to 80 degrees two-theta, by intensity:
2θ (°)  I/Imax
32.0  100
14.2  90
22.6  76
12.4  67
33.8  63
26.2  54
43.9  53
29.7  51

=====

No. 3
Structure and simulated powder XRD pattern of AgAsH6Au (the GGA-PBE geometry in OQMD; λ = 1.5418 Å (Cu Kα)).
Lines closer than 0.1° are merged.

Crystal structure
Unit cell a=7.0481 b=7.0481 c=7.0481 alpha=90.00 beta=90.00 gamma=90.00
Space group F-43m (No. 216)
Unique sites:
Ag: 0.0000 0.0000 0.0000 (multiplicity 4)
As: 0.0000 0.0000 0.5000 (multiplicity 4)
H: 0.0018 0.2500 0.7500 (multiplicity 24)
Au: 0.2500 0.2500 0.2500 (multiplicity 4)

Most intense lines, 10 to 80 degrees two-theta, by intensity:
2θ (°)  I/Imax
36.0  100
21.8  63
64.8  36
42.5  35
51.9  18
56.9  15
76.4  11
69.3  11

=====

No. 4
Structure and simulated powder XRD pattern of HoNbN2O (the GGA-PBE geometry in OQMD; λ = 1.5418 Å (Cu Kα)).
Lines closer than 0.1° are merged.

Crystal structure
Unit cell a=3.6241 b=6.2004 c=5.7677 alpha=90.00 beta=90.00 gamma=90.00
Space group Pmc2_1 (No. 26)
Unique sites:
Ho: 0.0000 0.1504 0.0000 (multiplicity 2)
Nb: 0.5000 0.3240 0.5454 (multiplicity 2)
N: 0.0000 0.2071 0.6058 (multiplicity 2)
N: 0.5000 0.3978 0.9032 (multiplicity 2)
O: 0.5000 0.0971 0.2769 (multiplicity 2)

Most intense lines, 10 to 80 degrees two-theta, by intensity:
2θ (°)  I/Imax
32.6  100
32.8  56
31.0  42
28.5  35
42.6  27
60.8  26
50.9  24
56.2  22

=====

No. 5
Structure and simulated powder XRD pattern of SmGa8Fe2 (the GGA-PBE geometry in OQMD; λ = 1.5418 Å (Cu Kα)).
Lines closer than 0.1° are merged.

Crystal structure
Unit cell a=12.4228 b=14.4356 c=4.0097 alpha=90.00 beta=90.00 gamma=90.00
Space group Pbam (No. 55)
Unique sites:
Sm: 0.1567 0.1808 0.0000 (multiplicity 4)
Ga: 0.0000 0.0000 0.0000 (multiplicity 2)
Ga: 0.0000 0.5000 0.5000 (multiplicity 2)
Ga: 0.0237 0.8668 0.5000 (multiplicity 4)
Ga: 0.0492 0.3179 0.5000 (multiplicity 4)
Ga: 0.0986 0.7459 0.0000 (multiplicity 4)
Ga: 0.1619 0.4545 0.0000 (multiplicity 4)
Ga: 0.1644 0.6214 0.5000 (multiplicity 4)
Ga: 0.1684 0.0100 0.5000 (multiplicity 4)
Ga: 0.2393 0.8253 0.5000 (multiplicity 4)
Fe: 0.0347 0.5929 0.0000 (multiplicity 4)
Fe: 0.1517 0.9027 0.0000 (multiplicity 4)

Most intense lines, 10 to 80 degrees two-theta, by intensity:
2θ (°)  I/Imax
36.3  100
34.2  76
45.2  60
37.1  37
46.4  34
44.3  30
44.4  29
36.6  27

=====

No. 6
Structure and simulated powder XRD pattern of PrMgCuTeS2 (the GGA-PBE geometry in OQMD; λ = 1.5418 Å (Cu Kα)).
Lines closer than 0.1° are merged.

Crystal structure
Unit cell a=3.8796 b=13.2699 c=11.2157 alpha=90.00 beta=90.00 gamma=90.00
Space group Cmcm (No. 63)
Unique sites:
Pr: 0.0000 0.0000 0.0000 (multiplicity 4)
Mg: 0.0000 0.1954 0.2500 (multiplicity 4)
Cu: 0.0000 0.4832 0.7500 (multiplicity 4)
Te: 0.0000 0.1195 0.7500 (multiplicity 4)
S: 0.0000 0.3654 0.5965 (multiplicity 8)

Most intense lines, 10 to 80 degrees two-theta, by intensity:
2θ (°)  I/Imax
34.7  100
13.3  69
44.4  32
31.9  24
31.7  23
40.3  22
27.4  18
25.2  17

=====

No. 7
Structure and simulated powder XRD pattern of Tb3Al2 (the GGA-PBE geometry in OQMD; λ = 1.5418 Å (Cu Kα)).
Lines closer than 0.1° are merged.

Crystal structure
Unit cell a=8.2739 b=8.2739 c=7.6190 alpha=90.00 beta=90.00 gamma=90.00
Space group P4_2/mnm (No. 136)
Unique sites:
Tb: 0.0000 0.5000 0.2500 (multiplicity 4)
Tb: 0.1494 0.1494 0.0000 (multiplicity 4)
Tb: 0.2015 0.2015 0.5000 (multiplicity 4)
Al: 0.1188 0.8812 0.3064 (multiplicity 8)

Most intense lines, 10 to 80 degrees two-theta, by intensity:
2θ (°)  I/Imax
31.9  100
33.8  84
34.3  69
27.9  52
24.1  52
30.6  38
52.7  31
36.3  25

=====

No. 8
Structure and simulated powder XRD pattern of Th2Sn3Hg3 (the GGA-PBE geometry in OQMD; λ = 1.5418 Å (Cu Kα)).
Lines closer than 0.1° are merged.

Crystal structure
Unit cell a=4.7317 b=4.8144 c=9.2440 alpha=90.00 beta=90.00 gamma=90.00
Space group Pmmm (No. 47)
Unique sites:
Th: 0.0000 0.0000 0.2454 (multiplicity 2)
Sn: 0.0000 0.5000 0.0000 (multiplicity 1)
Sn: 0.5000 0.0000 0.0000 (multiplicity 1)
Sn: 0.5000 0.0000 0.5000 (multiplicity 1)
Hg: 0.0000 0.5000 0.5000 (multiplicity 1)
Hg: 0.5000 0.5000 0.2538 (multiplicity 2)

Most intense lines, 10 to 80 degrees two-theta, by intensity:
2θ (°)  I/Imax
32.9  100
37.4  18
38.0  17
39.0  16
64.5  15
65.5  14
66.7  13
54.4  12